The following is a calculated PXRD pattern of Co2SeCl2O3. It was derived from a cell relaxed with GGA+U, using λ = 1.5418 Å (Cu Kα).
Kinematic intensities with the Lorentz-polarization factor, no thermal factor.

Most intense lines, 10° ≤ 2θ ≤ 80°, low angle first:
index, 2θ (°), d (Å), Rel. int.
0 0 1, 11.33, 7.812, 100
1 0 1, 24.26, 3.669, 36
0 2 0, 26.93, 3.311, 35
1 2 -1, 33.10, 2.707, 33
1 0 2, 33.27, 2.693, 31
0 2 2, 35.55, 2.526, 50

Cell and atoms:
Unit cell a=4.989 b=6.621 c=8.118 alpha=90.00 beta=105.77 gamma=90.00
Sites, in units of the cell vectors:
1 Co 0.000 0.000 0.000
2 Co 0.000 0.500 0.000
3 Co 0.255 0.250 0.774
4 Co 0.745 0.750 0.226
5 Se 0.404 0.750 0.766
6 Se 0.596 0.250 0.234
7 Cl 0.167 0.250 0.487
8 Cl 0.244 0.750 0.212
9 Cl 0.756 0.250 0.788
10 Cl 0.833 0.750 0.513
11 O 0.248 0.547 0.839
12 O 0.248 0.953 0.839
13 O 0.269 0.250 0.069
14 O 0.731 0.750 0.931
15 O 0.752 0.047 0.161
16 O 0.752 0.453 0.161